# KHfTe2PdS
Calculated powder XRD pattern, CuKα. Input: the GGA-PBE geometry in OQMD.
Lines closer than 0.1° are merged.

Peak list (10 most intense, 10 to 90 degrees two-theta, low angle first)
2θ = 11.07°, rel. 100
2θ = 25.58°, rel. 14
2θ = 25.70°, rel. 17
2θ = 28.02°, rel. 15
2θ = 30.76°, rel. 28
2θ = 32.09°, rel. 32
2θ = 34.72°, rel. 23
2θ = 38.63°, rel. 14
2θ = 42.34°, rel. 30
2θ = 47.26°, rel. 16

abc: 8.8727 3.8472 10.4642
angles: 90.00 114.08 90.00
Atoms (fractional coordinates):
K 0.2262 0.2500 0.2462
K 0.7738 0.7500 0.7538
Hf 0.1760 0.7500 0.6532
Hf 0.8240 0.2500 0.3468
Te 0.2391 0.7500 0.9504
Te 0.4096 0.2500 0.6312
Te 0.5904 0.7500 0.3688
Te 0.7609 0.2500 0.0496
Pd 0.4030 0.2500 0.8859
Pd 0.5970 0.7500 0.1141
S 0.0312 0.7500 0.3791
S 0.9688 0.2500 0.6209